For MgMn2Ag2O6, a cell relaxed with GGA+U gives the computed XRD peak list in this record (CuKα).
Kinematic intensities with the Lorentz-polarization factor, no thermal factor.

Crystal structure
```
data_MgMn2Ag2O6
_cell_length_a 5.3025
_cell_length_b 5.3025
_cell_length_c 15.6622
_cell_angle_alpha 90.00
_cell_angle_beta 90.00
_cell_angle_gamma 120.00
_symmetry_space_group_name_H-M 'R -3'
_symmetry_Int_Tables_number 148
_symmetry_space_group_name_Hall '-R 3'
loop_
_atom_site_label
_atom_site_type_symbol
_atom_site_fract_x
_atom_site_fract_y
_atom_site_fract_z
Mg1 Mg 0.0000 0.0000 0.0000
Mn1 Mn 0.0000 0.0000 0.1738
Ag1 Ag 0.0000 0.0000 0.3755
O1 O 0.0164 0.4088 0.5728
```

Largest 10 diffraction maxima, sorted by position, 2θ = 10–80°:
d 2.979, intensity 76, (1 0 4)
d 2.651, intensity 100, (1 1 0)
d 2.588, intensity 55, (0 1 5)
d 1.981, intensity 24, (0 2 4)
d 1.860, intensity 18, (2 -1 6)
d 1.852, intensity 29, (2 0 5)
d 1.587, intensity 20, (3 -1 4)
d 1.531, intensity 27, (3 0 0)
d 1.518, intensity 23, (3 -2 5)
d 1.455, intensity 19, (1 1 9)